Entry 1:
This entry pairs a crystal structure of Nd4PuSn15 with its theoretical powder diffraction line list. Radiation: a wavelength of 1.5418 Å. Structure: a cell relaxed with PBE.
Peak positions follow from Bragg's law for the DFT cell and can differ from measured ones.

Cell and atoms:
a = 4.7329 Å, b = 4.7318 Å, c = 23.9541 Å
α = 90.00°, β = 90.00°, γ = 90.00°
Space group Pm (No. 6)
Inequivalent atoms, fractional coordinates:
Nd1 0.0000 0.0000 0.0000 (multiplicity 1)
Nd2 0.0004 0.0000 0.4049 (multiplicity 1)
Nd3 0.0016 0.0000 0.6075 (multiplicity 1)
Nd4 0.9993 0.0000 0.2028 (multiplicity 1)
Pu1 0.0013 0.0000 0.8037 (multiplicity 1)
Sn1 0.9996 0.5000 0.3038 (multiplicity 1)
Sn2 0.0010 0.5000 0.5057 (multiplicity 1)
Sn3 0.0010 0.5000 0.8999 (multiplicity 1)
Sn4 0.0016 0.5000 0.7076 (multiplicity 1)
Sn5 0.4993 0.0000 0.1018 (multiplicity 1)
Sn6 0.4993 0.5000 0.2026 (multiplicity 1)
Sn7 0.4998 0.0000 0.3038 (multiplicity 1)
Sn8 0.5000 0.5000 0.0008 (multiplicity 1)
Sn9 0.5004 0.5000 0.4051 (multiplicity 1)
Sn10 0.5010 0.0000 0.5058 (multiplicity 1)
Sn11 0.5008 0.0000 0.8998 (multiplicity 1)
Sn12 0.5014 0.5000 0.8037 (multiplicity 1)
Sn13 0.5015 0.0000 0.7076 (multiplicity 1)
Sn14 0.5016 0.5000 0.6067 (multiplicity 1)
Sn15 0.9989 0.5000 0.1018 (multiplicity 1)

Peak list (10 most intense, 15 to 90 degrees two-theta, low angle first)
Position (°2θ)	I/Imax	index
32.6	1000	1 1 5
37.5	172	0 0 10
38.0	335	2 0 0
54.5	235	0 2 10
54.9	118	2 2 0
64.7	139	1 1 -15
65.3	283	1 3 5
68.4	123	2 2 -10
81.3	40	4 0 0
89.8	125	3 1 -15

Entry 2:
This entry pairs a crystal structure of Sr5Re2N6 with its theoretical powder diffraction line list. Radiation: a wavelength of 1.5418 Å. Structure: a cell relaxed with PBE.
Peak positions follow from Bragg's law for the DFT cell and can differ from measured ones.

Cell and atoms:
a = 10.5114 Å, b = 7.0706 Å, c = 13.3042 Å
α = 90.00°, β = 102.40°, γ = 90.00°
Space group C2/c (No. 15)
Inequivalent atoms, fractional coordinates:
Sr1 0.0000 0.1141 0.2500 (multiplicity 4)
Sr2 0.0604 0.2386 0.9965 (multiplicity 8)
Sr3 0.1585 0.4063 0.7148 (multiplicity 8)
Re1 0.2309 0.3968 0.4404 (multiplicity 8)
N1 0.0544 0.4494 0.3782 (multiplicity 8)
N2 0.1457 0.0519 0.6420 (multiplicity 8)
N3 0.2070 0.0410 0.4210 (multiplicity 8)

Peak list (10 most intense, 15 to 90 degrees two-theta, low angle first)
Position (°2θ)	I/Imax	index
15.9	650	1 1 -1
17.3	379	2 0 0
17.4	374	1 1 1
29.8	621	1 1 -4
31.1	858	3 1 1
32.3	1000	3 1 -3
32.7	975	0 2 3
39.5	399	1 3 -1
40.2	359	1 3 1
49.8	470	2 2 5

Entry 3:
This entry pairs a crystal structure of Al4PdRu3 with its theoretical powder diffraction line list. Radiation: a wavelength of 1.5418 Å. Structure: a cell relaxed with PBE.
Peak positions follow from Bragg's law for the DFT cell and can differ from measured ones.

Cell and atoms:
a = 3.0614 Å, b = 4.2236 Å, c = 8.4878 Å
α = 90.00°, β = 90.00°, γ = 90.00°
Space group Pmmm (No. 47)
Inequivalent atoms, fractional coordinates:
Al1 0.0000 0.0000 0.0000 (multiplicity 1)
Al2 0.0000 0.0000 0.5000 (multiplicity 1)
Al3 0.0000 0.5000 0.2401 (multiplicity 2)
Pd1 0.5000 0.5000 0.5000 (multiplicity 1)
Ru1 0.5000 0.0000 0.2564 (multiplicity 2)
Ru2 0.5000 0.5000 0.0000 (multiplicity 1)

Peak list (10 most intense, 15 to 90 degrees two-theta, low angle first)
Position (°2θ)	I/Imax	index
29.2	241	1 0 0
29.8	454	0 1 2
42.2	1000	1 1 2
42.6	240	0 0 4
42.8	241	0 2 0
52.5	91	1 0 4
52.7	91	1 2 0
62.0	155	0 2 4
77.7	155	1 1 6
78.0	159	1 3 2

Entry 4:
This entry pairs a crystal structure of CeCo5Ge7 with its theoretical powder diffraction line list. Radiation: a wavelength of 1.5418 Å. Structure: a cell relaxed with PBE.
Peak positions follow from Bragg's law for the DFT cell and can differ from measured ones.

Cell and atoms:
a = 5.1911 Å, b = 9.0319 Å, c = 8.0917 Å
α = 90.00°, β = 90.00°, γ = 90.00°
Space group Imm2 (No. 44)
Inequivalent atoms, fractional coordinates:
Ce1 0.0000 0.0000 0.0000 (multiplicity 2)
Co1 0.0000 0.5000 0.2505 (multiplicity 2)
Co2 0.2472 0.2782 0.7548 (multiplicity 8)
Ge1 0.0000 0.0000 0.3597 (multiplicity 2)
Ge2 0.0000 0.0000 0.6624 (multiplicity 2)
Ge3 0.0000 0.3136 0.4818 (multiplicity 4)
Ge4 0.0000 0.3287 0.0255 (multiplicity 4)
Ge5 0.0000 0.5000 0.7376 (multiplicity 2)

Peak list (10 most intense, 15 to 90 degrees two-theta, low angle first)
Position (°2θ)	I/Imax	index
34.4	644	1 3 0
34.6	371	2 0 0
37.6	285	1 0 3
39.9	328	0 4 0
40.1	474	2 2 0
41.2	1000	1 3 2
41.3	473	2 0 2
42.8	378	1 2 3
44.8	335	0 0 4
46.2	586	2 2 2

Entry 5:
This entry pairs a crystal structure of NaSr4Pd2 with its theoretical powder diffraction line list. Radiation: a wavelength of 1.5418 Å. Structure: a cell relaxed with PBE.
Peak positions follow from Bragg's law for the DFT cell and can differ from measured ones.

Cell and atoms:
a = 8.2357 Å, b = 8.2590 Å, c = 8.4198 Å
α = 107.82°, β = 96.41°, γ = 104.15°
Space group P1 (No. 1)
Inequivalent atoms, fractional coordinates:
Na1 0.0000 0.0000 0.0000 (multiplicity 1)
Na2 0.0065 0.4856 0.9831 (multiplicity 1)
Sr1 0.2302 0.8485 0.3386 (multiplicity 1)
Sr2 0.2685 0.2429 0.7148 (multiplicity 1)
Sr3 0.2678 0.7684 0.7818 (multiplicity 1)
Sr4 0.3746 0.3514 0.2430 (multiplicity 1)
Sr5 0.6979 0.5813 0.7242 (multiplicity 1)
Sr6 0.7042 0.8102 0.2620 (multiplicity 1)
Sr7 0.7107 0.0903 0.7337 (multiplicity 1)
Sr8 0.8597 0.3805 0.3320 (multiplicity 1)
Pd1 0.4846 0.7208 0.5154 (multiplicity 1)
Pd2 0.5457 0.1814 0.4551 (multiplicity 1)
Pd3 0.6291 0.4100 0.0042 (multiplicity 1)
Pd4 0.9687 0.8454 0.5940 (multiplicity 1)

Peak list (10 most intense, 15 to 90 degrees two-theta, low angle first)
Position (°2θ)	I/Imax	index
23.7	521	0 2 0
25.3	569	2 -1 1
28.3	585	-1 2 1
28.8	874	2 0 -2
29.2	507	1 2 0
29.7	784	0 2 1
30.8	717	2 1 -2
33.6	992	2 -2 2
34.3	765	0 2 -3
35.5	1000	2 0 2

Entry 6:
This entry pairs a crystal structure of LaH2Pd4 with its theoretical powder diffraction line list. Radiation: a wavelength of 1.5418 Å. Structure: a cell relaxed with PBE.
Peak positions follow from Bragg's law for the DFT cell and can differ from measured ones.

Cell and atoms:
a = 6.9971 Å, b = 6.9971 Å, c = 4.2643 Å
α = 90.00°, β = 90.00°, γ = 90.00°
Space group P4_2/mnm (No. 136)
Inequivalent atoms, fractional coordinates:
La1 0.0000 0.0000 0.0000 (multiplicity 2)
H1 0.2246 0.2246 0.5000 (multiplicity 4)
Pd1 0.0062 0.6948 0.5000 (multiplicity 8)

Peak list (10 most intense, 15 to 90 degrees two-theta, low angle first)
Position (°2θ)	I/Imax	index
25.5	141	2 0 0
35.6	1000	2 1 1
40.8	150	3 1 0
42.4	176	0 0 2
44.3	132	3 0 1
55.7	123	3 3 0
60.3	94	3 1 2
72.5	110	3 3 2
73.1	118	2 1 3
76.7	192	5 2 1

Entry 7:
This entry pairs a crystal structure of In3TcPt12 with its theoretical powder diffraction line list. Radiation: a wavelength of 1.5418 Å. Structure: a cell relaxed with PBE.
Peak positions follow from Bragg's law for the DFT cell and can differ from measured ones.

Cell and atoms:
a = 4.0182 Å, b = 4.0182 Å, c = 16.1307 Å
α = 90.00°, β = 90.00°, γ = 90.00°
Space group P4/mmm (No. 123)
Inequivalent atoms, fractional coordinates:
In1 0.0000 0.0000 0.0000 (multiplicity 1)
In2 0.0000 0.0000 0.2502 (multiplicity 2)
Tc1 0.0000 0.0000 0.5000 (multiplicity 1)
Pt1 0.0000 0.5000 0.1263 (multiplicity 4)
Pt2 0.0000 0.5000 0.3828 (multiplicity 4)
Pt3 0.5000 0.5000 0.0000 (multiplicity 1)
Pt4 0.5000 0.5000 0.2549 (multiplicity 2)
Pt5 0.5000 0.5000 0.5000 (multiplicity 1)

Peak list (10 most intense, 15 to 90 degrees two-theta, low angle first)
Position (°2θ)	I/Imax	index
22.1	39	1 0 0
31.4	34	1 1 0
38.8	1000	1 1 4
45.0	159	0 0 8
45.1	331	2 0 0
65.6	207	2 0 8
65.7	109	2 2 0
78.8	116	1 1 12
79.0	256	3 1 4
83.2	109	2 2 8

Entry 8:
This entry pairs a crystal structure of Ag3As2C3Se5N with its theoretical powder diffraction line list. Radiation: a wavelength of 1.5418 Å. Structure: a cell relaxed with PBE.
Peak positions follow from Bragg's law for the DFT cell and can differ from measured ones.

Cell and atoms:
a = 6.7733 Å, b = 10.4544 Å, c = 13.0003 Å
α = 85.28°, β = 82.35°, γ = 73.75°
Space group P-1 (No. 2)
Inequivalent atoms, fractional coordinates:
Ag1 0.0442 0.1076 0.4045 (multiplicity 2)
Ag2 0.1208 0.4249 0.7088 (multiplicity 2)
Ag3 0.1852 0.7363 0.2371 (multiplicity 2)
As1 0.3579 0.3065 0.3768 (multiplicity 2)
As2 0.4329 0.0976 0.6014 (multiplicity 2)
C1 0.1622 0.7487 0.0747 (multiplicity 2)
C2 0.1998 0.7179 0.8851 (multiplicity 2)
C3 0.2166 0.7005 0.7918 (multiplicity 2)
Se1 0.0616 0.1212 0.6109 (multiplicity 2)
Se2 0.2473 0.4461 0.2319 (multiplicity 2)
Se3 0.2558 0.6734 0.6539 (multiplicity 2)
Se4 0.4064 0.1031 0.2867 (multiplicity 2)
Se5 0.4409 0.2362 0.7374 (multiplicity 2)
N1 0.1792 0.7342 0.9838 (multiplicity 2)

Peak list (10 most intense, 15 to 90 degrees two-theta, low angle first)
Position (°2θ)	I/Imax	index
16.0	763	0 1 2
19.1	327	1 -1 1
20.7	567	0 0 3
22.2	429	1 -1 2
26.5	812	1 3 0
26.6	1000	2 1 0
32.4	641	1 -1 4
32.9	428	2 3 0
42.1	435	2 4 3
45.4	429	3 -1 0

Entry 9:
This entry pairs a crystal structure of MnIr2W with its theoretical powder diffraction line list. Radiation: a wavelength of 1.5418 Å. Structure: a cell relaxed with PBE.
Peak positions follow from Bragg's law for the DFT cell and can differ from measured ones.

Cell and atoms:
a = 3.8518 Å, b = 3.8518 Å, c = 3.8197 Å
α = 90.00°, β = 90.00°, γ = 90.00°
Space group P4/mmm (No. 123)
Inequivalent atoms, fractional coordinates:
Mn1 0.0000 0.0000 0.0000 (multiplicity 1)
Ir1 0.0000 0.5000 0.5000 (multiplicity 2)
W1 0.5000 0.5000 0.0000 (multiplicity 1)

Peak list (10 most intense, 15 to 90 degrees two-theta, low angle first)
Position (°2θ)	I/Imax	index
23.1	87	1 0 0
33.0	72	1 0 1
40.7	1000	1 1 1
47.2	328	2 0 0
47.6	160	0 0 2
69.0	106	2 2 0
69.3	208	2 0 2
83.3	256	3 1 1
83.9	126	1 1 3
88.1	114	2 2 2

Entry 10:
This entry pairs a crystal structure of Nd2DyTe4 with its theoretical powder diffraction line list. Radiation: a wavelength of 1.5418 Å. Structure: a cell relaxed with PBE.
Peak positions follow from Bragg's law for the DFT cell and can differ from measured ones.

Cell and atoms:
a = 16.5021 Å, b = 4.4349 Å, c = 7.8079 Å
α = 90.00°, β = 117.63°, γ = 90.00°
Space group C2/m (No. 12)
Inequivalent atoms, fractional coordinates:
Nd1 0.2402 0.0000 0.2283 (multiplicity 4)
Dy1 0.0000 0.5000 0.5000 (multiplicity 2)
Te1 0.1168 0.5000 0.9403 (multiplicity 4)
Te2 0.1256 0.0000 0.4698 (multiplicity 4)

Peak list (10 most intense, 15 to 90 degrees two-theta, low angle first)
Position (°2θ)	I/Imax	index
26.0	1000	4 0 -2
26.2	172	3 1 -1
33.4	271	2 0 2
33.7	662	6 0 -2
33.9	567	5 1 -1
40.2	568	3 1 -3
40.7	284	0 2 0
44.1	157	7 1 -1
53.6	167	2 2 2
66.3	246	11 1 -3

Entry 11:
This entry pairs a crystal structure of AcSi2Ge with its theoretical powder diffraction line list. Radiation: a wavelength of 1.5418 Å. Structure: a cell relaxed with PBE.
Peak positions follow from Bragg's law for the DFT cell and can differ from measured ones.

Cell and atoms:
a = 4.4918 Å, b = 4.4918 Å, c = 15.8069 Å
α = 90.00°, β = 90.00°, γ = 120.00°
Space group R-3m (No. 166, hexagonal axes)
Inequivalent atoms, fractional coordinates:
Ac1 0.0000 0.0000 0.0000 (multiplicity 3)
Si1 0.0000 0.0000 0.2037 (multiplicity 6)
Ge1 0.0000 0.0000 0.5000 (multiplicity 3)

Peak list (10 most intense, 15 to 90 degrees two-theta, low angle first)
Position (°2θ)	I/Imax	index
23.6	519	1 0 1
25.5	1000	0 1 2
32.3	928	1 0 4
34.0	248	0 0 6
36.6	266	0 1 5
40.2	631	1 1 0
52.4	239	0 2 4
53.6	414	1 1 6
63.5	236	1 0 10
68.0	221	2 1 4

Entry 12:
This entry pairs a crystal structure of Tb2CePr2Ho2 with its theoretical powder diffraction line list. Radiation: a wavelength of 1.5418 Å. Structure: a cell relaxed with PBE.
Peak positions follow from Bragg's law for the DFT cell and can differ from measured ones.

Cell and atoms:
a = 12.4510 Å, b = 5.8922 Å, c = 6.3907 Å
α = 90.00°, β = 100.15°, γ = 90.00°
Space group C2/m (No. 12)
Inequivalent atoms, fractional coordinates:
Tb1 0.2115 0.0000 0.3759 (multiplicity 4)
Ce1 0.0000 0.5000 0.5000 (multiplicity 2)
Pr1 0.1484 0.5000 0.0656 (multiplicity 4)
Ho1 0.0634 0.0000 0.7840 (multiplicity 4)

Peak list (10 most intense, 15 to 90 degrees two-theta, low angle first)
Position (°2θ)	I/Imax	index
30.1	288	4 0 -1
30.3	291	0 2 0
32.0	1000	3 1 1
43.3	215	4 2 -1
48.3	78	2 0 3
54.7	208	7 1 0
54.9	216	3 3 1
58.1	134	2 2 3
66.8	114	6 2 2
72.3	90	7 3 0